1.
Simulated powder diffractogram
Compound: Mo2PbSe2O11
Radiation: a wavelength of 1.5418 Å
Structure: DFT lattice parameters and positions (PBE+U)
Kinematic intensities with the Lorentz-polarization factor, no thermal factor.

Cell and atoms:
```
Mo2PbSe2O11
1.0
8.099 0.000 0.000
3.294 7.682 0.000
3.787 -0.417 8.159
Mo Pb Se O
4 2 4 22
Direct
0.221 0.468 0.045
0.228 0.876 0.805
0.772 0.124 0.195
0.779 0.532 0.955
0.072 0.725 0.473
0.928 0.275 0.527
0.249 0.054 0.144
0.261 0.274 0.687
0.739 0.726 0.313
0.751 0.946 0.856
0.094 0.021 0.068
0.101 0.407 0.871
0.121 0.281 0.189
0.140 0.129 0.720
0.165 0.993 0.340
0.180 0.392 0.548
0.231 0.671 0.924
0.258 0.525 0.205
0.278 0.788 0.618
0.444 0.308 0.922
0.446 0.890 0.785
0.554 0.110 0.215
0.556 0.692 0.078
0.722 0.212 0.382
0.742 0.475 0.795
0.769 0.329 0.076
0.820 0.608 0.452
0.835 0.007 0.660
0.860 0.871 0.280
0.879 0.719 0.811
0.899 0.593 0.129
0.906 0.979 0.932
```

Most intense lines, 10 to 80 degrees two-theta, by angle:
2θ/deg  d/Å  I_rel
13.04  6.791  100.0
20.13  4.411  29.1
23.91  3.722  28.2
25.02  3.559  48.7
25.14  3.542  90.4
25.24  3.528  53.6
26.21  3.400  28.7
26.27  3.392  45.5
30.00  2.979  26.2
33.88  2.646  21.9

2.
Simulated powder diffractogram
Compound: Pr2MoO6
Radiation: a wavelength of 1.5418 Å
Structure: DFT lattice parameters and positions (PBE+U)
Kinematic intensities with the Lorentz-polarization factor, no thermal factor.

Cell and atoms:
```
Pr2MoO6
1.0
8.512 -5.813 0.000
8.512 5.813 0.000
-1.744 0.000 5.350
Pr Mo O
8 4 24
Direct
0.055 0.288 0.882
0.111 0.889 0.750
0.288 0.055 0.382
0.367 0.633 0.250
0.633 0.367 0.750
0.712 0.945 0.618
0.889 0.111 0.250
0.945 0.712 0.118
0.203 0.491 0.559
0.491 0.203 0.059
0.509 0.797 0.941
0.797 0.509 0.441
0.071 0.474 0.269
0.076 0.109 0.081
0.109 0.076 0.581
0.164 0.686 0.416
0.174 0.613 0.860
0.213 0.325 0.636
0.314 0.836 0.084
0.325 0.213 0.136
0.383 0.454 0.520
0.387 0.826 0.640
0.454 0.383 0.020
0.474 0.071 0.769
0.526 0.929 0.231
0.546 0.617 0.980
0.613 0.174 0.360
0.617 0.546 0.480
0.675 0.787 0.864
0.686 0.164 0.916
0.787 0.675 0.364
0.826 0.387 0.140
0.836 0.314 0.584
0.891 0.924 0.419
0.924 0.891 0.919
0.929 0.526 0.731
```

Most intense lines, 10 to 80 degrees two-theta, by angle:
2θ/deg  d/Å  I_rel
27.36  3.259  100.0
27.78  3.211  87.9
30.76  2.907  22.8
31.81  2.813  19.1
33.20  2.698  18.9
44.84  2.021  26.8
45.90  1.977  26.7
46.12  1.968  16.5
52.65  1.738  12.6
53.77  1.705  13.3

3.
Simulated powder diffractogram
Compound: PrMo5O8
Radiation: a wavelength of 1.5418 Å
Structure: DFT lattice parameters and positions (PBE+U)
Kinematic intensities with the Lorentz-polarization factor, no thermal factor.

Cell and atoms:
```
PrMo5O8
1.0
8.389 0.000 0.000
0.000 9.366 0.000
-3.609 0.000 10.121
Pr Mo O
4 20 32
Direct
0.206 0.017 0.466
0.206 0.483 0.966
0.794 0.517 0.034
0.794 0.983 0.534
0.097 0.136 0.810
0.097 0.364 0.310
0.109 0.646 0.483
0.109 0.854 0.983
0.296 0.642 0.274
0.296 0.858 0.774
0.303 0.126 0.136
0.303 0.374 0.636
0.490 0.141 0.919
0.490 0.359 0.419
0.510 0.641 0.581
0.510 0.859 0.081
0.697 0.626 0.364
0.697 0.874 0.864
0.704 0.142 0.226
0.704 0.358 0.726
0.891 0.146 0.017
0.891 0.354 0.517
0.903 0.636 0.690
0.903 0.864 0.190
0.083 0.501 0.636
0.083 0.999 0.136
0.095 0.503 0.148
0.095 0.997 0.648
0.103 0.248 0.989
0.103 0.252 0.489
0.125 0.718 0.829
0.125 0.782 0.329
0.292 0.214 0.314
0.292 0.286 0.814
0.312 0.718 0.095
0.312 0.782 0.595
0.484 0.007 0.764
0.484 0.493 0.264
0.489 0.249 0.089
0.489 0.251 0.589
0.511 0.749 0.411
0.511 0.751 0.911
0.516 0.507 0.736
0.516 0.993 0.236
0.688 0.218 0.405
0.688 0.282 0.905
0.708 0.714 0.186
0.708 0.786 0.686
0.875 0.218 0.671
0.875 0.282 0.171
0.897 0.748 0.511
0.897 0.752 0.011
0.905 0.003 0.352
0.905 0.497 0.852
0.917 0.001 0.864
0.917 0.499 0.364
```

Most intense lines, 10 to 80 degrees two-theta, by angle:
2θ/deg  d/Å  I_rel
28.11  3.174  26.8
28.53  3.128  35.0
29.96  2.982  100.0
31.54  2.837  58.3
32.63  2.744  25.6
33.08  2.708  71.5
34.04  2.633  27.9
34.75  2.582  31.9
43.93  2.061  24.8
59.78  1.547  30.4